Starting from the PBE geometry in Alexandria, the powder X-ray diffraction pattern of PuRuPtO6 was computed for copper Kα.
Intensities are scaled so that the largest is 100.

Atomic structure:
```
data_PuRuPtO6
_cell_length_a 5.2328
_cell_length_b 5.2328
_cell_length_c 9.0861
_cell_angle_alpha 90.00
_cell_angle_beta 90.00
_cell_angle_gamma 120.00
_space_group_name_H-M_alt 'P -3 1 c'
_space_group_IT_number 163
_space_group_name_Hall '-P 3 2c'
loop_
_atom_site_label
_atom_site_fract_x
_atom_site_fract_y
_atom_site_fract_z
_atom_site_occupancy
Pu1 0.3333 0.6667 0.2500 1
Ru1 0.0000 0.0000 0.0000 1
Pt1 0.3333 0.6667 0.7500 1
O1 0.0074 0.3287 0.6220 1
```

The 6 most intense peaks (5° ≤ 2θ ≤ 70°), by angle:
d 4.540, 19.55°, I = 50, hkl 0 0 2
d 3.208, 27.81°, I = 100, hkl 1 0 2
d 2.616, 34.27°, I = 66, hkl 1 1 0
d 2.268, 39.74°, I = 56, hkl 0 0 4
d 2.028, 44.68°, I = 31, hkl 2 0 2
d 1.715, 53.42°, I = 56, hkl 2 -1 4


Starting from the PBE geometry in Alexandria, the powder X-ray diffraction pattern of Rb4PtO4 was computed for copper Kα.
Intensities are scaled so that the largest is 100.

Atomic structure:
```
data_Rb4PtO4
_cell_length_a 8.3944
_cell_length_b 8.3944
_cell_length_c 5.6593
_cell_angle_alpha 90.00
_cell_angle_beta 90.00
_cell_angle_gamma 90.00
_space_group_name_H-M_alt 'I 4/m'
_space_group_IT_number 87
_space_group_name_Hall '-I 4'
loop_
_atom_site_label
_atom_site_fract_x
_atom_site_fract_y
_atom_site_fract_z
_atom_site_occupancy
Rb1 0.1030 0.2929 0.0000 1
Pt1 0.0000 0.0000 0.5000 1
O1 0.0690 0.2251 0.5000 1
```

The 6 most intense peaks (5° ≤ 2θ ≤ 70°), by angle:
d 4.692, 18.91°, I = 20, hkl 1 0 1
d 3.128, 28.53°, I = 100, hkl 2 1 1
d 2.830, 31.62°, I = 28, hkl 0 0 2
d 2.655, 33.77°, I = 42, hkl 1 3 0
d 1.936, 46.93°, I = 32, hkl 1 3 2
d 1.610, 57.24°, I = 33, hkl 5 0 1


Starting from the PBE geometry in Alexandria, the powder X-ray diffraction pattern of Rb2TiPtO4 was computed for copper Kα.
Intensities are scaled so that the largest is 100.

Atomic structure:
```
data_Rb2TiPtO4
_cell_length_a 5.4346
_cell_length_b 12.7658
_cell_length_c 20.8435
_cell_angle_alpha 90.00
_cell_angle_beta 90.00
_cell_angle_gamma 90.00
_space_group_name_H-M_alt 'F d d d'
_space_group_IT_number 70
loop_
_space_group_symop_operation_xyz
'x,y,z'
'-x,-y,-z'
'-x+1/4,-y+1/4,z'
'x+1/4,y+1/4,-z'
'x,-y+1/4,-z+1/4'
'-x,y+1/4,z+1/4'
'-x+1/4,y,-z+1/4'
'x+1/4,-y,z+1/4'
'x,y+1/2,z+1/2'
'-x,-y+1/2,-z+1/2'
'-x+1/4,-y+3/4,z+1/2'
'x+1/4,y+3/4,-z+1/2'
'x,-y+3/4,-z+3/4'
'-x,y+3/4,z+3/4'
'-x+1/4,y+1/2,-z+3/4'
'x+1/4,-y+1/2,z+3/4'
'x+1/2,y,z+1/2'
'-x+1/2,-y,-z+1/2'
'-x+3/4,-y+1/4,z+1/2'
'x+3/4,y+1/4,-z+1/2'
'x+1/2,-y+1/4,-z+3/4'
'-x+1/2,y+1/4,z+3/4'
'-x+3/4,y,-z+3/4'
'x+3/4,-y,z+3/4'
'x+1/2,y+1/2,z'
'-x+1/2,-y+1/2,-z'
'-x+3/4,-y+3/4,z'
'x+3/4,y+3/4,-z'
'x+1/2,-y+3/4,-z+1/4'
'-x+1/2,y+3/4,z+1/4'
'-x+3/4,y+1/2,-z+1/4'
'x+3/4,-y+1/2,z+1/4'
loop_
_atom_site_label
_atom_site_fract_x
_atom_site_fract_y
_atom_site_fract_z
_atom_site_occupancy
Rb1 0.1250 0.1250 0.3074 1
Ti1 0.1250 0.1250 0.1250 1
Pt1 0.1250 0.1250 0.6250 1
O1 0.0919 0.2762 0.4084 1
```

The 6 most intense peaks (5° ≤ 2θ ≤ 70°), by angle:
d 5.443, 16.28°, I = 57, hkl 0 2 2
d 5.211, 17.02°, I = 86, hkl 0 0 4
d 4.059, 21.90°, I = 100, hkl 1 1 3
d 3.051, 29.27°, I = 99, hkl 0 2 6
d 3.018, 29.60°, I = 78, hkl 1 3 3
d 2.500, 35.92°, I = 58, hkl 2 2 0


Starting from the PBE geometry in Alexandria, the powder X-ray diffraction pattern of RePtO was computed for copper Kα.
Intensities are scaled so that the largest is 100.

Atomic structure:
```
data_RePtO
_cell_length_a 11.0284
_cell_length_b 2.7695
_cell_length_c 5.7032
_cell_angle_alpha 90.00
_cell_angle_beta 109.70
_cell_angle_gamma 90.00
_space_group_name_H-M_alt 'C 1 2/m 1'
_space_group_IT_number 12
loop_
_space_group_symop_operation_xyz
'x,y,z'
'-x,-y,-z'
'-x,y,-z'
'x,-y,z'
'x+1/2,y+1/2,z'
'-x+1/2,-y+1/2,-z'
'-x+1/2,y+1/2,-z'
'x+1/2,-y+1/2,z'
loop_
_atom_site_label
_atom_site_fract_x
_atom_site_fract_y
_atom_site_fract_z
_atom_site_occupancy
Re1 0.9999 0.0000 0.2202 1
Pt1 0.1646 0.5000 0.5960 1
O1 0.1485 0.0000 0.0934 1
```

The 6 most intense peaks (5° ≤ 2θ ≤ 70°), by angle:
d 5.369, 16.51°, I = 45, hkl 0 0 1
d 2.483, 36.18°, I = 57, hkl 1 1 -1
d 2.292, 39.31°, I = 63, hkl 4 0 -2
d 2.162, 41.77°, I = 100, hkl 3 1 0
d 2.112, 42.82°, I = 51, hkl 2 0 2
d 1.983, 45.75°, I = 71, hkl 1 1 -2


Starting from the PBE geometry in Alexandria, the powder X-ray diffraction pattern of RuPtO was computed for copper Kα.
Intensities are scaled so that the largest is 100.

Atomic structure:
```
data_RuPtO
_cell_length_a 3.7065
_cell_length_b 3.7065
_cell_length_c 5.9750
_cell_angle_alpha 90.00
_cell_angle_beta 90.00
_cell_angle_gamma 90.00
_space_group_name_H-M_alt 'P 4/n m m'
_space_group_IT_number 129
loop_
_space_group_symop_operation_xyz
'x,y,z'
'-x,-y,-z'
'-y+1/2,x,z'
'y+1/2,-x,-z'
'-x+1/2,-y+1/2,z'
'x+1/2,y+1/2,-z'
'y,-x+1/2,z'
'-y,x+1/2,-z'
'x+1/2,-y,-z'
'-x+1/2,y,z'
'-y,-x,-z'
'y,x,z'
'-x,y+1/2,-z'
'x,-y+1/2,z'
'y+1/2,x+1/2,-z'
'-y+1/2,-x+1/2,z'
loop_
_atom_site_label
_atom_site_fract_x
_atom_site_fract_y
_atom_site_fract_z
_atom_site_occupancy
Ru1 0.2500 0.2500 0.1763 1
Pt1 0.2500 0.7500 0.5000 1
O1 0.2500 0.7500 0.0000 1
```

The 6 most intense peaks (5° ≤ 2θ ≤ 70°), by angle:
d 5.975, 14.83°, I = 75, hkl 0 0 1
d 3.150, 28.34°, I = 37, hkl 1 0 1
d 2.400, 37.47°, I = 100, hkl 1 1 1
d 1.970, 46.07°, I = 82, hkl 1 1 2
d 1.853, 49.16°, I = 45, hkl 2 0 0
d 1.357, 69.25°, I = 27, hkl 2 0 3


Starting from the PBE geometry in Alexandria, the powder X-ray diffraction pattern of Tl2RuPtO4 was computed for copper Kα.
Intensities are scaled so that the largest is 100.

Atomic structure:
```
data_Tl2RuPtO4
_cell_length_a 6.5133
_cell_length_b 6.5133
_cell_length_c 6.4959
_cell_angle_alpha 90.00
_cell_angle_beta 90.00
_cell_angle_gamma 90.00
_space_group_name_H-M_alt 'I -4'
_space_group_IT_number 82
loop_
_space_group_symop_operation_xyz
'x,y,z'
'y,-x,-z'
'-x,-y,z'
'-y,x,-z'
'x+1/2,y+1/2,z+1/2'
'y+1/2,-x+1/2,-z+1/2'
'-x+1/2,-y+1/2,z+1/2'
'-y+1/2,x+1/2,-z+1/2'
loop_
_atom_site_label
_atom_site_fract_x
_atom_site_fract_y
_atom_site_fract_z
_atom_site_occupancy
Tl1 0.0000 0.0000 0.0000 1
Tl2 0.0000 0.5000 0.2500 1
Ru1 0.0000 0.5000 0.7500 1
Pt1 0.0000 0.0000 0.5000 1
O1 0.1261 0.7227 0.6110 1
```

The 6 most intense peaks (5° ≤ 2θ ≤ 70°), by angle:
d 3.257, 27.39°, I = 74, hkl 2 0 0
d 2.654, 33.77°, I = 100, hkl 1 1 2
d 2.303, 39.12°, I = 33, hkl 2 2 0
d 1.739, 52.62°, I = 57, hkl 3 1 2
d 1.456, 63.92°, I = 17, hkl 2 4 0
d 1.453, 64.07°, I = 16, hkl 2 0 4


Starting from the PBE geometry in Alexandria, the powder X-ray diffraction pattern of Pt6SO12 was computed for copper Kα.
Intensities are scaled so that the largest is 100.

Atomic structure:
```
data_Pt6SO12
_cell_length_a 8.8172
_cell_length_b 8.8172
_cell_length_c 11.9770
_cell_angle_alpha 90.00
_cell_angle_beta 90.00
_cell_angle_gamma 120.00
_space_group_name_H-M_alt 'R -3'
_space_group_IT_number 148
_space_group_name_Hall '-R 3'
loop_
_atom_site_label
_atom_site_fract_x
_atom_site_fract_y
_atom_site_fract_z
_atom_site_occupancy
Pt1 0.0357 0.7805 0.1900 1
S1 0.0000 0.0000 0.5000 1
O1 0.0215 0.8182 0.8436 1
O2 0.0606 0.1795 0.4160 1
```

The 6 most intense peaks (5° ≤ 2θ ≤ 70°), by angle:
d 3.992, 22.27°, I = 96, hkl 0 0 3
d 2.959, 30.20°, I = 31, hkl 2 -1 3
d 2.806, 31.90°, I = 100, hkl 3 -1 1
d 2.600, 34.50°, I = 70, hkl 1 2 2
d 2.078, 43.55°, I = 38, hkl 3 -1 4
d 1.819, 50.16°, I = 28, hkl 0 4 2


Starting from the PBE geometry in Alexandria, the powder X-ray diffraction pattern of PtS2O6 was computed for copper Kα.
Intensities are scaled so that the largest is 100.

Atomic structure:
```
data_PtS2O6
_cell_length_a 4.6859
_cell_length_b 4.6859
_cell_length_c 20.2159
_cell_angle_alpha 90.00
_cell_angle_beta 90.00
_cell_angle_gamma 120.00
_space_group_name_H-M_alt 'R 3'
_space_group_IT_number 146
_space_group_name_Hall 'R 3'
loop_
_atom_site_label
_atom_site_fract_x
_atom_site_fract_y
_atom_site_fract_z
_atom_site_occupancy
Pt1 0.0000 0.0000 0.0000 1
S1 0.0000 0.0000 0.5752 1
S2 0.0000 0.0000 0.7581 1
O1 0.0075 0.3146 0.6022 1
O2 0.0077 0.6929 0.7312 1
```

The 6 most intense peaks (5° ≤ 2θ ≤ 70°), by angle:
d 6.739, 13.14°, I = 100, hkl 0 0 3
d 3.979, 22.34°, I = 54, hkl 1 0 1
d 3.766, 23.62°, I = 52, hkl 0 1 2
d 3.164, 28.20°, I = 50, hkl 1 0 4
d 2.864, 31.23°, I = 44, hkl 0 1 5
d 2.213, 40.77°, I = 26, hkl 1 1 3